Simulated powder diffractogram of Ag2MoSe for Cu Kα (weighted mean of Kα1 and Kα2), from a cell relaxed with PBE.

Most intense lines, 10° ≤ 2θ ≤ 90°, in order of rising 2θ:
Position (°2θ)  intensity  (hkl)
31.2  4  1 0 1
37.5  100  1 0 2
41.3  42  1 1 0
48.0  11  0 0 4
57.0  4  1 0 4
59.8  13  2 0 0
65.1  15  1 1 4
69.0  4  1 0 5
72.8  27  2 1 2
80.1  8  2 0 4
82.4  5  1 0 6
89.6  6  2 2 0

Structural model:
```
data_Ag2MoSe
_space_group_name_H-M_alt 'P 4 m m'
_space_group_IT_number 99
_cell_length_a 3.093
_cell_length_b 3.093
_cell_length_c 7.585
_cell_angle_alpha 90.00
_cell_angle_beta 90.00
_cell_angle_gamma 90.00
loop_
_space_group_symop_operation_xyz
'x,y,z'
'-y,x,z'
'-x,-y,z'
'y,-x,z'
'-x,y,z'
'y,x,z'
'x,-y,z'
'-y,-x,z'
loop_
_atom_site_label
_atom_site_fract_x
_atom_site_fract_y
_atom_site_fract_z
Ag1 0.000 0.000 0.000
Ag2 0.500 0.500 0.248
Mo1 0.000 0.000 0.508
Se1 0.500 0.500 0.689
```

Simulated powder diffractogram of Co2Sb3Se3 for Cu Kα (weighted mean of Kα1 and Kα2), from a cell relaxed with PBE.

Most intense lines, 10° ≤ 2θ ≤ 90°, in order of rising 2θ:
Position (°2θ)  intensity  (hkl)
20.0  9  2 0 2
24.6  12  3 0 0
31.9  100  2 1 4
37.9  40  1 4 0
43.3  8  0 3 6
45.7  29  4 2 2
50.4  15  6 -4 4
52.5  12  5 -4 6
52.6  10  3 4 2
60.8  9  5 -3 8
60.9  14  5 3 2
72.1  8  3 4 8

Structural model:
```
data_Co2Sb3Se3
_space_group_name_H-M_alt 'R -3'
_space_group_IT_number 148
_space_group_name_Hall '-R 3'
_cell_length_a 12.5407
_cell_length_b 12.5407
_cell_length_c 15.3963
_cell_angle_alpha 90.00
_cell_angle_beta 90.00
_cell_angle_gamma 120.00
loop_
_atom_site_label
_atom_site_fract_x
_atom_site_fract_y
_atom_site_fract_z
Co1 0.0000 0.0000 0.2438
Co2 0.9997 0.4987 0.7561
Sb1 0.0066 0.8383 0.3382
Sb2 0.0594 0.2711 0.9426
Se1 0.0081 0.8364 0.8361
Se2 0.0581 0.2737 0.4396
```

Simulated powder diffractogram of La4Pr5Nd2 for Cu Kα (weighted mean of Kα1 and Kα2), from a cell relaxed with PBE.

Most intense lines, 10° ≤ 2θ ≤ 90°, in order of rising 2θ:
Position (°2θ)  intensity  (hkl)
27.9  25  1 0 1
28.6  64  0 0 33
28.8  14  0 1 8
29.5  100  0 1 11
30.2  16  1 0 13
33.0  19  0 1 20
34.0  70  1 0 22
35.6  25  1 0 25
48.2  19  0 1 44
49.4  47  1 1 0
58.1  52  1 1 33
80.7  15  1 1 66

Structural model:
```
data_La4Pr5Nd2
_space_group_name_H-M_alt 'R -3 m'
_space_group_IT_number 166
_space_group_name_Hall '-R 3 2"'
_cell_length_a 3.6890
_cell_length_b 3.6890
_cell_length_c 102.8512
_cell_angle_alpha 90.00
_cell_angle_beta 90.00
_cell_angle_gamma 120.00
loop_
_atom_site_label
_atom_site_fract_x
_atom_site_fract_y
_atom_site_fract_z
La1 0.0000 0.0000 0.0879
La2 0.0000 0.0000 0.1826
Pr1 0.0000 0.0000 0.0000
Pr2 0.0000 0.0000 0.1218
Pr3 0.0000 0.0000 0.2746
Nd1 0.0000 0.0000 0.3626
```

Simulated powder diffractogram of PaReGe3 for Cu Kα (weighted mean of Kα1 and Kα2), from a cell relaxed with PBE.

Most intense lines, 10° ≤ 2θ ≤ 90°, in order of rising 2θ:
Position (°2θ)  intensity  (hkl)
20.8  81  1 0 1
26.4  49  1 1 1
28.7  40  2 0 0
34.6  34  0 1 2
35.5  43  1 2 0
35.9  78  0 2 1
36.6  100  2 1 1
37.6  56  1 1 2
45.6  54  2 1 2
46.6  52  2 2 1
67.1  27  2 3 2
71.5  21  4 2 1

Structural model:
```
data_PaReGe3
_space_group_name_H-M_alt 'P m n 21'
_space_group_IT_number 31
_cell_length_a 6.210
_cell_length_b 5.534
_cell_length_c 5.859
_cell_angle_alpha 90.00
_cell_angle_beta 90.00
_cell_angle_gamma 90.00
loop_
_space_group_symop_operation_xyz
'x,y,z'
'-x+1/2,-y,z+1/2'
'-x,y,z'
'x+1/2,-y,z+1/2'
loop_
_atom_site_label
_atom_site_fract_x
_atom_site_fract_y
_atom_site_fract_z
Pa1 0.000 0.142 0.000
Re1 0.000 0.626 0.233
Ge1 0.000 0.907 0.552
Ge2 0.236 0.326 0.429
```

Simulated powder diffractogram of Ce2MgPaN4 for Cu Kα (weighted mean of Kα1 and Kα2), from a cell relaxed with PBE.

Most intense lines, 10° ≤ 2θ ≤ 90°, in order of rising 2θ:
Position (°2θ)  intensity  (hkl)
16.0  43  1 0 0
18.4  31  1 0 -1
29.7  19  0 1 1
30.9  51  0 0 2
31.5  97  1 1 -1
32.4  45  2 0 0
36.3  100  1 1 1
37.2  46  2 0 -2
52.0  52  0 2 0
54.0  31  3 1 -1
61.7  31  1 1 3
65.7  17  2 2 -2

Structural model:
```
data_Ce2MgPaN4
_space_group_name_H-M_alt 'P 1 2/m 1'
_space_group_IT_number 10
_cell_length_a 5.823
_cell_length_b 3.517
_cell_length_c 6.099
_cell_angle_alpha 90.00
_cell_angle_beta 108.41
_cell_angle_gamma 90.00
loop_
_space_group_symop_operation_xyz
'x,y,z'
'-x,-y,-z'
'-x,y,-z'
'x,-y,z'
loop_
_atom_site_label
_atom_site_fract_x
_atom_site_fract_y
_atom_site_fract_z
Ce1 0.000 0.000 0.000
Ce2 0.500 0.500 0.000
Mg1 0.000 0.500 0.500
Pa1 0.500 0.000 0.500
N1 0.258 0.000 0.735
N2 0.260 0.500 0.276
```

Simulated powder diffractogram of Tb4Pb3 for Cu Kα (weighted mean of Kα1 and Kα2), from a cell relaxed with PBE.

Most intense lines, 10° ≤ 2θ ≤ 90°, in order of rising 2θ:
Position (°2θ)  intensity  (hkl)
23.1  9  2 1 1
29.9  100  3 1 0
35.6  63  3 2 1
42.8  18  4 2 0
45.0  13  3 3 2
47.2  13  4 2 2
49.2  21  4 3 1
60.4  29  6 1 1
62.2  11  6 2 0
63.9  14  5 4 1
73.7  20  7 2 1
89.2  11  7 5 0

Structural model:
```
data_Tb4Pb3
_space_group_name_H-M_alt 'I -4 3 d'
_space_group_IT_number 220
_space_group_name_Hall 'I -4bd 2c 3'
_cell_length_a 9.441
_cell_length_b 9.441
_cell_length_c 9.441
_cell_angle_alpha 90.00
_cell_angle_beta 90.00
_cell_angle_gamma 90.00
loop_
_atom_site_label
_atom_site_fract_x
_atom_site_fract_y
_atom_site_fract_z
Tb1 0.070 0.070 0.070
Pb1 0.000 0.250 0.375
```

Simulated powder diffractogram of BaGeTe3Au for Cu Kα (weighted mean of Kα1 and Kα2), from a cell relaxed with PBE.

Most intense lines, 10° ≤ 2θ ≤ 90°, in order of rising 2θ:
Position (°2θ)  intensity  (hkl)
11.9  43  1 0 -1
27.3  17  1 0 -3
27.6  20  1 1 -2
28.0  16  0 0 3
28.4  100  2 1 0
31.5  19  3 0 -2
32.0  24  1 0 3
34.1  29  1 1 -3
39.5  17  4 0 -1
40.7  30  0 2 0
43.5  21  2 1 -4
44.6  25  3 1 2

Structural model:
```
data_BaGeTe3Au
_space_group_name_H-M_alt 'P 1 21/m 1'
_space_group_IT_number 11
_cell_length_a 9.137
_cell_length_b 4.435
_cell_length_c 9.864
_cell_angle_alpha 90.00
_cell_angle_beta 103.89
_cell_angle_gamma 90.00
loop_
_space_group_symop_operation_xyz
'x,y,z'
'-x,-y,-z'
'-x,y+1/2,-z'
'x,-y+1/2,z'
loop_
_atom_site_label
_atom_site_fract_x
_atom_site_fract_y
_atom_site_fract_z
Ba1 0.178 0.250 0.250
Ge1 0.344 0.750 0.872
Te1 0.125 0.250 0.879
Te2 0.252 0.750 0.551
Te3 0.447 0.750 0.165
Au1 0.072 0.250 0.581
```

Simulated powder diffractogram of Ac4Ag2N for Cu Kα (weighted mean of Kα1 and Kα2), from a cell relaxed with PBE.

Most intense lines, 10° ≤ 2θ ≤ 90°, in order of rising 2θ:
Position (°2θ)  intensity  (hkl)
24.2  22  0 1 2
26.3  86  1 2 0
27.7  100  2 0 -2
30.1  56  2 1 -2
31.5  84  1 2 -2
39.9  18  3 1 0
41.1  30  1 0 -4
44.7  26  3 2 -2
45.0  21  3 2 0
47.0  18  0 4 0
49.5  22  3 0 2
55.5  23  2 4 -2

Structural model:
```
data_Ac4Ag2N
_space_group_name_H-M_alt 'P 1 21/m 1'
_space_group_IT_number 11
_cell_length_a 7.411
_cell_length_b 7.735
_cell_length_c 8.773
_cell_angle_alpha 90.00
_cell_angle_beta 107.07
_cell_angle_gamma 90.00
loop_
_space_group_symop_operation_xyz
'x,y,z'
'-x,-y,-z'
'-x,y+1/2,-z'
'x,-y+1/2,z'
loop_
_atom_site_label
_atom_site_fract_x
_atom_site_fract_y
_atom_site_fract_z
Ac1 0.013 0.010 0.252
Ac2 0.419 0.250 0.586
Ac3 0.434 0.250 0.128
Ag1 0.214 0.750 0.549
Ag2 0.237 0.750 0.063
N1 0.240 0.250 0.306
```

Simulated powder diffractogram of Tb5GeRu2 for Cu Kα (weighted mean of Kα1 and Kα2), from a cell relaxed with PBE.

Most intense lines, 10° ≤ 2θ ≤ 90°, in order of rising 2θ:
Position (°2θ)  intensity  (hkl)
13.4  10  0 0 2
26.9  14  2 1 1
31.7  15  1 1 4
33.1  100  2 1 3
35.9  24  2 0 4
37.1  47  3 1 0
43.2  15  2 1 5
53.5  20  4 2 0
55.5  13  4 0 4
58.2  12  3 3 4
68.7  17  3 1 8
69.5  18  5 2 3

Structural model:
```
data_Tb5GeRu2
_space_group_name_H-M_alt 'I 4/m c m'
_space_group_IT_number 140
_space_group_name_Hall '-I 4 2c'
_cell_length_a 7.657
_cell_length_b 7.657
_cell_length_c 13.234
_cell_angle_alpha 90.00
_cell_angle_beta 90.00
_cell_angle_gamma 90.00
loop_
_atom_site_label
_atom_site_fract_x
_atom_site_fract_y
_atom_site_fract_z
Tb1 0.000 0.000 0.000
Tb2 0.162 0.338 0.139
Ge1 0.000 0.000 0.250
Ru1 0.138 0.362 0.500
```

Simulated powder diffractogram of LiLaGa2Au5 for Cu Kα (weighted mean of Kα1 and Kα2), from a cell relaxed with PBE.

Most intense lines, 10° ≤ 2θ ≤ 90°, in order of rising 2θ:
Position (°2θ)  intensity  (hkl)
10.5  27  0 0 1
21.0  16  0 0 2
34.0  100  1 1 2
37.6  53  2 0 0
41.7  19  1 1 3
42.8  11  0 0 4
43.5  10  2 0 2
54.2  21  2 2 0
58.3  18  2 0 4
65.5  31  3 1 2
71.5  10  2 2 4
72.8  13  1 1 6

Structural model:
```
data_LiLaGa2Au5
_space_group_name_H-M_alt 'P 4/m m m'
_space_group_IT_number 123
_space_group_name_Hall '-P 4 2'
_cell_length_a 4.784
_cell_length_b 4.784
_cell_length_c 8.447
_cell_angle_alpha 90.00
_cell_angle_beta 90.00
_cell_angle_gamma 90.00
loop_
_atom_site_label
_atom_site_fract_x
_atom_site_fract_y
_atom_site_fract_z
Li1 0.000 0.000 0.000
La1 0.000 0.000 0.500
Ga1 0.500 0.500 0.148
Au1 0.000 0.500 0.261
Au2 0.500 0.500 0.500
```

Simulated powder diffractogram of Nd4PtSeI2 for Cu Kα (weighted mean of Kα1 and Kα2), from a cell relaxed with PBE.

Most intense lines, 10° ≤ 2θ ≤ 90°, in order of rising 2θ:
Position (°2θ)  intensity  (hkl)
11.4  16  0 0 1
28.2  55  2 0 -2
28.5  100  1 1 1
36.2  13  1 1 2
38.4  15  2 0 2
39.7  32  1 1 -3
41.3  40  3 1 -1
43.0  19  0 2 0
49.7  9  4 0 0
52.2  20  2 2 -2
59.0  9  2 2 2
67.3  9  5 1 -3

Structural model:
```
data_Nd4PtSeI2
_space_group_name_H-M_alt 'P 1 2/m 1'
_space_group_IT_number 10
_cell_length_a 7.668
_cell_length_b 4.207
_cell_length_c 8.118
_cell_angle_alpha 90.00
_cell_angle_beta 107.02
_cell_angle_gamma 90.00
loop_
_space_group_symop_operation_xyz
'x,y,z'
'-x,-y,-z'
'-x,y,-z'
'x,-y,z'
loop_
_atom_site_label
_atom_site_fract_x
_atom_site_fract_y
_atom_site_fract_z
Nd1 0.213 0.000 0.196
Nd2 0.263 0.500 0.801
Pt1 0.000 0.500 0.000
Se1 0.500 0.000 0.000
I1 0.000 0.000 0.500
I2 0.500 0.500 0.500
```

Simulated powder diffractogram of Pa4Cd for Cu Kα (weighted mean of Kα1 and Kα2), from a cell relaxed with PBE.

Most intense lines, 10° ≤ 2θ ≤ 90°, in order of rising 2θ:
Position (°2θ)  intensity  (hkl)
16.1  6  1 0 0
22.9  5  1 1 0
28.1  100  1 1 1
32.6  86  2 0 0
36.5  3  2 1 0
46.7  65  2 2 0
55.4  48  3 1 1
58.1  23  2 2 2
68.2  11  4 0 0
75.3  20  3 3 1
77.7  30  4 2 0
86.8  23  4 2 2

Structural model:
```
data_Pa4Cd
_space_group_name_H-M_alt 'P m -3 m'
_space_group_IT_number 221
_space_group_name_Hall '-P 4 2 3'
_cell_length_a 5.499
_cell_length_b 5.499
_cell_length_c 5.499
_cell_angle_alpha 90.00
_cell_angle_beta 90.00
_cell_angle_gamma 90.00
loop_
_atom_site_label
_atom_site_fract_x
_atom_site_fract_y
_atom_site_fract_z
Pa1 0.000 0.000 0.000
Pa2 0.000 0.500 0.500
Cd1 0.500 0.500 0.500
```